Starting from a structure optimized by DFT (GGA+U), the PXRD pattern of K3Dy3MoO8 was simulated for λ = 1.5418 Å (Cu Kα).

Largest 12 diffraction maxima, by angle, 5 to 70 degrees two-theta:
2θ (°), I/Imax
14.07, 100
28.36, 28
30.50, 11
30.74, 22
31.67, 18
31.81, 35
35.69, 26
35.98, 50
38.72, 13
45.66, 13
49.45, 25
53.67, 15

Atomic structure:
a = 6.831 Å, b = 6.831 Å, c = 7.418 Å
α = 117.34°, β = 117.34°, γ = 59.55°
Atoms (fractional coordinates):
K  0.000  0.000  0.000
K  0.000  0.500  0.000
K  0.500  0.000  0.000
Dy  0.000  0.500  0.500
Dy  0.500  0.000  0.500
Dy  0.500  0.500  0.500
Mo  0.000  0.000  0.500
O  0.210  0.752  0.672
O  0.217  0.217  0.675
O  0.248  0.790  0.328
O  0.274  0.274  0.318
O  0.726  0.726  0.682
O  0.752  0.210  0.672
O  0.783  0.783  0.325
O  0.790  0.248  0.328